(1)
Ac5BSe4: computed PXRD pattern (copper Kα), based on a DFT-relaxed cell (PBE, Alexandria).

Top 6 peaks for 5 to 70 degrees two-theta, low angle first:
two_theta	d (Å)	I (rel.)	h k l
24.47	3.637	74	2 1 1
28.30	3.154	89	1 3 0
28.40	3.142	45	0 0 2
40.50	2.227	100	1 3 2
50.16	1.819	34	4 2 2
66.29	1.410	25	2 6 2

Crystal structure
```
data_Ac5BSe4
_chemical_formula_sum 'Ac10 B2 Se8'
_cell_length_a 9.974
_cell_length_b 9.974
_cell_length_c 6.285
_cell_angle_alpha 90.00
_cell_angle_beta 90.00
_cell_angle_gamma 90.00
_space_group_name_H-M_alt 'I 4/m'
_space_group_IT_number 87
_space_group_name_Hall '-I 4'
loop_
_atom_site_label
_atom_site_type_symbol
_atom_site_fract_x
_atom_site_fract_y
_atom_site_fract_z
Ac1 Ac 0.000 0.000 0.000
Ac2 Ac 0.093 0.278 0.500
B1 B 0.000 0.000 0.500
Se1 Se 0.095 0.303 0.000
```

(2)
AcSiB: computed PXRD pattern (copper Kα), based on a DFT-relaxed cell (PBE, Alexandria).

Top 6 peaks for 5 to 70 degrees two-theta, low angle first:
two_theta	d (Å)	I (rel.)	h k l
18.31	4.847	63	0 0 2
27.66	3.225	29	0 2 0
27.97	3.191	60	1 1 0
33.38	2.685	54	0 2 2
33.63	2.665	100	1 1 2
47.09	1.930	31	1 1 4

Crystal structure
```
data_AcSiB
_chemical_formula_sum 'Ac4 Si4 B4'
_cell_length_a 3.671
_cell_length_b 6.449
_cell_length_c 9.693
_cell_angle_alpha 90.00
_cell_angle_beta 90.00
_cell_angle_gamma 90.00
_space_group_name_H-M_alt 'I m m m'
_space_group_IT_number 71
_space_group_name_Hall '-I 2 2'
loop_
_atom_site_label
_atom_site_type_symbol
_atom_site_fract_x
_atom_site_fract_y
_atom_site_fract_z
Ac1 Ac 0.000 0.000 0.248
Si1 Si 0.000 0.306 0.500
B1 B 0.000 0.364 0.000
```

(3)
AcTbB4: computed PXRD pattern (copper Kα), based on a DFT-relaxed cell (PBE, Alexandria).

Top 6 peaks for 5 to 70 degrees two-theta, low angle first:
two_theta	d (Å)	I (rel.)	h k l
23.38	3.804	100	0 0 1
29.20	3.059	22	0 4 0
31.31	2.857	37	1 4 0
33.31	2.690	47	2 1 1
37.73	2.384	23	0 4 1
39.44	2.285	43	1 4 1

Crystal structure
```
data_AcTbB4
_chemical_formula_sum 'Ac4 Tb4 B16'
_cell_length_a 8.000
_cell_length_b 12.235
_cell_length_c 3.806
_cell_angle_alpha 90.00
_cell_angle_beta 90.00
_cell_angle_gamma 90.00
_space_group_name_H-M_alt 'P b a m'
_space_group_IT_number 55
loop_
_space_group_symop_operation_xyz
'x,y,z'
'-x,-y,-z'
'-x,-y,z'
'x,y,-z'
'x+1/2,-y+1/2,-z'
'-x+1/2,y+1/2,z'
'-x+1/2,y+1/2,-z'
'x+1/2,-y+1/2,z'
loop_
_atom_site_label
_atom_site_type_symbol
_atom_site_fract_x
_atom_site_fract_y
_atom_site_fract_z
Ac1 Ac 0.167 0.151 0.000
Tb1 Tb 0.172 0.408 0.000
B1 B 0.040 0.692 0.500
B2 B 0.052 0.558 0.500
B3 B 0.067 0.948 0.500
B4 B 0.104 0.818 0.500
```